1.
Theoretical powder X-ray diffraction pattern of Na3MnH7 for Cu Kα, from a DFT-relaxed cell (PBE, Alexandria).
Kinematic intensities with the Lorentz-polarization factor, no thermal factor.

Structure:
```
Na3MnH7
1.0
3.6351 -3.7573 0.0000
3.6351 3.7573 0.0000
-3.6346 0.0000 3.8569
Na Mn H
3 1 7
direct
0.0000 0.0000 0.0000
0.2642 0.7638 0.5000
0.7638 0.2642 0.5000
0.5222 0.5222 0.9992
0.2588 0.6671 0.9991
0.2992 0.2992 0.9948
0.3093 0.3093 0.5696
0.5811 0.8198 0.0010
0.6671 0.2588 0.9991
0.7355 0.7355 0.4289
0.8198 0.5811 0.0010
```

Largest 10 diffraction maxima, in order of rising 2θ, 2θ from 5° to 70°:
20.53 deg, rel. 57
33.29 deg, rel. 100
33.89 deg, rel. 94
34.33 deg, rel. 95
47.13 deg, rel. 21
48.46 deg, rel. 18
50.19 deg, rel. 15
59.59 deg, rel. 34
60.44 deg, rel. 32
61.57 deg, rel. 29

2.
Theoretical powder X-ray diffraction pattern of Li5Mg7 for Cu Kα, from a DFT-relaxed cell (PBE, Alexandria).
Kinematic intensities with the Lorentz-polarization factor, no thermal factor.

Structure:
```
Li5Mg7
1.0
6.5730 -1.5522 0.0000
6.5730 1.5522 0.0000
-0.9562 0.0000 12.4586
Li Mg
5 7
direct
0.0000 0.0000 0.0000
0.1778 0.1778 0.4481
0.3858 0.3858 0.1377
0.6142 0.6142 0.8623
0.8222 0.8222 0.5519
0.0534 0.0534 0.2588
0.1815 0.1815 0.6802
0.3107 0.3107 0.9065
0.5000 0.5000 0.5000
0.6893 0.6893 0.0935
0.8185 0.8185 0.3198
0.9466 0.9466 0.7412
```

Largest 10 diffraction maxima, in order of rising 2θ, 2θ from 5° to 70°:
15.75 deg, rel. 25
31.81 deg, rel. 29
32.74 deg, rel. 62
33.19 deg, rel. 23
33.51 deg, rel. 38
35.90 deg, rel. 100
36.05 deg, rel. 27
37.11 deg, rel. 34
42.03 deg, rel. 36
56.03 deg, rel. 26

3.
Theoretical powder X-ray diffraction pattern of Na3CaHg7 for Cu Kα, from a DFT-relaxed cell (PBE, Alexandria).
Kinematic intensities with the Lorentz-polarization factor, no thermal factor.

Structure:
```
Na3CaHg7
1.0
1.7721 -10.8876 0.0000
1.7721 10.8876 0.0000
0.0000 0.0000 16.0835
Na Ca Hg
6 2 14
direct
0.1150 0.8850 0.5188
0.1150 0.8850 0.9812
0.2424 0.7576 0.2500
0.7576 0.2424 0.7500
0.8850 0.1150 0.0188
0.8850 0.1150 0.4812
0.0207 0.9793 0.2500
0.9793 0.0207 0.7500
0.2488 0.7512 0.5808
0.2488 0.7512 0.9192
0.3723 0.6277 0.6547
0.3723 0.6277 0.8453
0.3906 0.6094 0.2500
0.4947 0.5053 0.0899
0.4947 0.5053 0.4101
0.5053 0.4947 0.5899
0.5053 0.4947 0.9101
0.6094 0.3906 0.7500
0.6277 0.3723 0.1547
0.6277 0.3723 0.3453
0.7512 0.2488 0.0808
0.7512 0.2488 0.4192
```

Largest 10 diffraction maxima, in order of rising 2θ, 2θ from 5° to 70°:
19.69 deg, rel. 100
25.46 deg, rel. 85
28.94 deg, rel. 43
30.18 deg, rel. 39
30.51 deg, rel. 75
32.91 deg, rel. 80
34.48 deg, rel. 40
37.39 deg, rel. 84
39.83 deg, rel. 41
42.17 deg, rel. 47

4.
Theoretical powder X-ray diffraction pattern of PmMgCoGe2 for Cu Kα, from a DFT-relaxed cell (PBE, Alexandria).
Kinematic intensities with the Lorentz-polarization factor, no thermal factor.

Structure:
```
PmMgCoGe2
1.0
5.4587 0.0000 0.0000
0.0000 5.7893 0.0000
0.0000 0.0000 5.9032
Pm Mg Co Ge
2 2 2 4
direct
0.2500 0.0000 0.2310
0.7500 0.0000 0.7690
0.2500 0.5000 0.3734
0.7500 0.5000 0.6266
0.0000 0.5000 0.0000
0.5000 0.5000 0.0000
0.2500 0.2461 0.7639
0.2500 0.7539 0.7639
0.7500 0.2461 0.2361
0.7500 0.7539 0.2361
```

Largest 10 diffraction maxima, in order of rising 2θ, 2θ from 5° to 70°:
15.01 deg, rel. 15
27.06 deg, rel. 39
30.28 deg, rel. 25
32.81 deg, rel. 26
34.10 deg, rel. 30
36.39 deg, rel. 20
38.36 deg, rel. 100
45.25 deg, rel. 39
59.25 deg, rel. 20
62.29 deg, rel. 24

5.
Theoretical powder X-ray diffraction pattern of Ac2In3Hg9 for Cu Kα, from a DFT-relaxed cell (PBE, Alexandria).
Kinematic intensities with the Lorentz-polarization factor, no thermal factor.

Structure:
```
Ac2In3Hg9
1.0
7.7592 -4.4531 0.0000
7.7592 4.4531 0.0000
0.0000 0.0000 10.8721
Ac In Hg
4 6 18
direct
0.0068 0.6667 0.7500
0.3333 0.9932 0.7500
0.6667 0.0068 0.2500
0.9932 0.3333 0.2500
0.0000 0.0000 0.0000
0.0000 0.0000 0.5000
0.3313 0.3313 0.0000
0.3313 0.3313 0.5000
0.6687 0.6687 0.0000
0.6687 0.6687 0.5000
0.0079 0.3340 0.5903
0.0079 0.3340 0.9097
0.1271 0.8729 0.2500
0.3250 0.6750 0.5800
0.3250 0.6750 0.9200
0.3340 0.0079 0.0903
0.3340 0.0079 0.4097
0.3357 0.4659 0.2500
0.4659 0.3357 0.7500
0.5341 0.6643 0.2500
0.6643 0.5341 0.7500
0.6660 0.9921 0.5903
0.6660 0.9921 0.9097
0.6750 0.3250 0.0800
0.6750 0.3250 0.4200
0.8729 0.1271 0.7500
0.9921 0.6660 0.0903
0.9921 0.6660 0.4097
```

Largest 10 diffraction maxima, in order of rising 2θ, 2θ from 5° to 70°:
31.67 deg, rel. 12
31.80 deg, rel. 100
34.71 deg, rel. 26
34.85 deg, rel. 44
38.74 deg, rel. 14
47.79 deg, rel. 8
54.66 deg, rel. 7
60.35 deg, rel. 13
60.53 deg, rel. 15
60.64 deg, rel. 13